Computed X-ray diffraction stick pattern
Compound: Ac2Pm3Er4
Radiation: λ = 1.5418 Å (Cu Kα)
Structure: the GGA-PBE geometry in Alexandria
Lines closer than 0.1° are merged.

Principal peaks in the range 2θ from 10° to 90°, by angle:
| two_theta | d_spacing | I/Imax |
| --- | --- | --- |
| 26.11 | 3.413 | 12 |
| 29.72 | 3.006 | 17 |
| 29.87 | 2.992 | 34 |
| 30.16 | 2.964 | 17 |
| 31.33 | 2.855 | 100 |
| 31.46 | 2.844 | 50 |
| 32.40 | 2.764 | 68 |
| 43.93 | 2.061 | 24 |
| 47.39 | 1.918 | 12 |
| 55.93 | 1.644 | 21 |
| 56.61 | 1.626 | 14 |
| 58.00 | 1.590 | 14 |

Cell and atoms:
```
Ac2Pm3Er4
1.0
7.2681 0.0000 0.0000
0.0000 15.8105 0.0000
0.0000 0.0000 5.6871
Ac Pm Er
4 6 8
Direct
0.1647 0.0957 0.0000 Ac
0.3353 0.5957 0.5000 Ac
0.6647 0.4043 0.5000 Ac
0.8353 0.9043 0.0000 Ac
0.0000 0.5000 0.0000 Pm
0.1073 0.8299 0.5000 Pm
0.3927 0.3299 0.0000 Pm
0.5000 0.0000 0.5000 Pm
0.6073 0.6701 0.0000 Pm
0.8927 0.1701 0.5000 Pm
0.0925 0.7066 0.0000 Er
0.1338 0.3770 0.5000 Er
0.3662 0.8770 0.0000 Er
0.4075 0.2066 0.5000 Er
0.5925 0.7934 0.5000 Er
0.6338 0.1230 0.0000 Er
0.8662 0.6230 0.5000 Er
0.9075 0.2934 0.0000 Er
```



Computed X-ray diffraction stick pattern
Compound: KAuBr
Radiation: λ = 1.5418 Å (Cu Kα)
Structure: the GGA-PBE geometry in Alexandria
Lines closer than 0.1° are merged.

Principal peaks in the range 2θ from 10° to 90°, by angle:
| two_theta | d_spacing | I/Imax |
| --- | --- | --- |
| 20.35 | 4.364 | 53 |
| 20.84 | 4.263 | 50 |
| 29.28 | 3.050 | 100 |
| 35.63 | 2.520 | 72 |
| 41.64 | 2.169 | 53 |
| 42.40 | 2.132 | 15 |
| 46.77 | 1.942 | 28 |
| 47.47 | 1.915 | 13 |
| 56.55 | 1.627 | 37 |
| 60.15 | 1.538 | 26 |
| 64.00 | 1.455 | 13 |
| 79.82 | 1.202 | 14 |

Cell and atoms:
```
KAuBr
1.0
5.0394 0.0000 0.0000
-2.5197 4.3642 0.0000
0.0000 0.0000 4.2634
K Au Br
1 1 1
Direct
0.0000 0.0000 0.0000 K
0.6667 0.3333 0.5001 Au
0.3333 0.6667 0.4990 Br
```



Computed X-ray diffraction stick pattern
Compound: MnIn2Se4
Radiation: λ = 1.5418 Å (Cu Kα)
Structure: the GGA-PBE geometry in Alexandria
Lines closer than 0.1° are merged.

Principal peaks in the range 2θ from 10° to 90°, by angle:
| two_theta | d_spacing | I/Imax |
| --- | --- | --- |
| 20.07 | 4.425 | 58 |
| 24.90 | 3.576 | 56 |
| 25.20 | 3.534 | 43 |
| 26.39 | 3.378 | 33 |
| 29.42 | 3.036 | 51 |
| 30.70 | 2.912 | 54 |
| 33.61 | 2.667 | 26 |
| 38.63 | 2.330 | 34 |
| 40.46 | 2.230 | 22 |
| 43.66 | 2.073 | 100 |
| 46.27 | 1.962 | 59 |
| 48.49 | 1.877 | 33 |

Cell and atoms:
```
MnIn2Se4
1.0
2.0730 1.1968 13.2751
-2.0730 1.1968 13.2751
0.0000 -2.3937 13.2751
Mn In Se
1 2 4
Direct
0.0000 0.0000 0.0000 Mn
0.2334 0.2334 0.2334 In
0.4619 0.4619 0.4619 In
0.0994 0.0994 0.0994 Se
0.3515 0.3515 0.3515 Se
0.5273 0.5273 0.5273 Se
0.9350 0.9350 0.9350 Se
```



Computed X-ray diffraction stick pattern
Compound: SrCdInNi
Radiation: λ = 1.5418 Å (Cu Kα)
Structure: the GGA-PBE geometry in Alexandria
Lines closer than 0.1° are merged.

Principal peaks in the range 2θ from 10° to 90°, by angle:
| two_theta | d_spacing | I/Imax |
| --- | --- | --- |
| 15.32 | 5.784 | 35 |
| 25.31 | 3.518 | 9 |
| 26.06 | 3.420 | 9 |
| 30.92 | 2.892 | 18 |
| 33.08 | 2.708 | 100 |
| 40.71 | 2.216 | 19 |
| 42.65 | 2.120 | 16 |
| 43.01 | 2.103 | 19 |
| 56.38 | 1.632 | 18 |
| 60.43 | 1.532 | 11 |
| 69.26 | 1.357 | 13 |
| 72.00 | 1.312 | 10 |

Cell and atoms:
```
SrCdInNi
1.0
4.2401 0.0000 0.0000
0.0000 4.4326 0.0000
0.0000 0.0000 5.7843
Sr Cd In Ni
1 1 1 1
Direct
0.0000 0.0000 0.0000 Sr
0.5000 0.0000 0.4878 Cd
0.0000 0.5000 0.4958 In
0.5000 0.5000 0.2291 Ni
```